No. 1
The following is a calculated powder diffraction line list of Si2MoO6. It was derived from a crystal structure in the Materials Project, relaxed with GGA+U, using Cu Kα.
Lines closer than 0.1° are merged.

Most intense lines, 2θ from 10° to 80°, low angle first:
(1 1 0), 6.444 Å, 2θ 13.74, I = 100
(1 1 -1), 4.561 Å, 2θ 19.46, I = 68
(0 2 0), 4.490 Å, 2θ 19.77, I = 37
(1 1 1), 3.649 Å, 2θ 24.39, I = 46
(2 2 -1), 3.060 Å, 2θ 29.19, I = 88
(3 1 0), 2.917 Å, 2θ 30.65, I = 63
(1 3 -1), 2.606 Å, 2θ 34.41, I = 35
(0 0 2), 2.582 Å, 2θ 34.75, I = 33
(2 2 1), 2.493 Å, 2θ 36.02, I = 32
(1 1 2), 2.230 Å, 2θ 40.45, I = 21

Structural model:
```
data_Si2MoO6
_chemical_formula_sum 'Si8 Mo4 O24'
_space_group_name_H-M_alt 'C 1 2/c 1'
_space_group_IT_number 15
_space_group_name_Hall '-C 2yc'
_cell_length_a 9.776
_cell_length_b 8.980
_cell_length_c 5.455
_cell_angle_alpha 90.00
_cell_angle_beta 108.83
_cell_angle_gamma 90.00
loop_
_atom_site_label
_atom_site_fract_x
_atom_site_fract_y
_atom_site_fract_z
_atom_site_occupancy
Si1 0.197 0.083 0.240 1
Mo1 0.000 0.400 0.250 1
O1 0.122 0.428 0.652 1
O2 0.137 0.252 0.195 1
O3 0.144 0.008 0.466 1
```

=====

No. 2
The following is a calculated powder diffraction line list of SiMoO3. It was derived from a crystal structure in the Materials Project, relaxed with GGA+U, using Cu Kα.
Lines closer than 0.1° are merged.

Most intense lines, 2θ from 10° to 80°, low angle first:
(1 0 0), 3.646 Å, 2θ 24.42, I = 27
(1 1 0), 2.578 Å, 2θ 34.80, I = 100
(1 1 1), 2.105 Å, 2θ 42.97, I = 41
(2 0 0), 1.823 Å, 2θ 50.04, I = 41
(2 1 0), 1.630 Å, 2θ 56.44, I = 12
(2 1 1), 1.488 Å, 2θ 62.40, I = 37
(2 2 0), 1.289 Å, 2θ 73.47, I = 24
(3 0 0), 1.215 Å, 2θ 78.75, I = 6

Structural model:
```
data_SiMoO3
_chemical_formula_sum 'Si1 Mo1 O3'
_space_group_name_H-M_alt 'P m -3 m'
_space_group_IT_number 221
_space_group_name_Hall '-P 4 2 3'
_cell_length_a 3.646
_cell_length_b 3.646
_cell_length_c 3.646
_cell_angle_alpha 90.00
_cell_angle_beta 90.00
_cell_angle_gamma 90.00
loop_
_atom_site_label
_atom_site_fract_x
_atom_site_fract_y
_atom_site_fract_z
_atom_site_occupancy
Si1 0.000 0.000 0.000 1
Mo1 0.500 0.500 0.500 1
O1 0.000 0.000 0.500 1
```

=====

No. 3
The following is a calculated powder diffraction line list of Zn3Si4Mo2O14. It was derived from a crystal structure in the Materials Project, relaxed with GGA+U, using Cu Kα.
Lines closer than 0.1° are merged.

Most intense lines, 2θ from 10° to 80°, low angle first:
(2 0 0), 6.979 Å, 2θ 12.68, I = 100
(3 1 -1), 4.554 Å, 2θ 19.49, I = 34
(1 1 2), 3.298 Å, 2θ 27.03, I = 81
(5 1 -2), 3.049 Å, 2θ 29.30, I = 72
(2 2 1), 2.961 Å, 2θ 30.19, I = 93
(0 2 2), 2.938 Å, 2θ 30.42, I = 32
(4 0 -4), 2.560 Å, 2θ 35.05, I = 33
(2 2 2), 2.412 Å, 2θ 37.28, I = 38
(1 3 -2), 2.349 Å, 2θ 38.32, I = 31
(6 0 0), 2.332 Å, 2θ 38.60, I = 33

Structural model:
```
data_Zn3Si4Mo2O14
_chemical_formula_sum 'Zn12 Si16 Mo8 O56'
_space_group_name_H-M_alt 'C 1 2/c 1'
_space_group_IT_number 15
_space_group_name_Hall '-C 2yc'
_cell_length_a 16.618
_cell_length_b 8.001
_cell_length_c 10.286
_cell_angle_alpha 90.00
_cell_angle_beta 122.67
_cell_angle_gamma 90.00
loop_
_atom_site_label
_atom_site_fract_x
_atom_site_fract_y
_atom_site_fract_z
_atom_site_occupancy
Zn1 0.000 0.105 0.250 1
Zn2 0.171 0.378 0.404 1
Si1 0.122 0.138 0.100 1
Si2 0.186 0.207 0.707 1
Mo1 0.000 0.289 0.750 1
Mo2 0.000 0.500 0.000 1
O1 0.059 0.081 0.918 1
O2 0.064 0.262 0.157 1
O3 0.084 0.476 0.909 1
O4 0.098 0.330 0.673 1
O5 0.156 0.017 0.726 1
O6 0.209 0.200 0.571 1
O7 0.218 0.233 0.131 1
```

=====

No. 4
The following is a calculated powder diffraction line list of Sm2MoO6. It was derived from a crystal structure in the Materials Project, relaxed with GGA+U, using Cu Kα.
Lines closer than 0.1° are merged.

Most intense lines, 2θ from 10° to 80°, low angle first:
(2 2 1), 3.200 Å, 2θ 27.88, I = 100
(4 2 -1), 3.154 Å, 2θ 28.30, I = 89
(0 4 0), 2.849 Å, 2θ 31.40, I = 23
(2 0 -2), 2.761 Å, 2θ 32.43, I = 19
(6 0 0), 2.655 Å, 2θ 33.76, I = 20
(2 4 -2), 1.982 Å, 2θ 45.77, I = 26
(6 4 0), 1.942 Å, 2θ 46.78, I = 27
(4 0 2), 1.934 Å, 2θ 46.99, I = 17
(2 6 1), 1.705 Å, 2θ 53.78, I = 12
(0 2 3), 1.673 Å, 2θ 54.87, I = 13

Structural model:
```
data_Sm2MoO6
_chemical_formula_sum 'Sm16 Mo8 O48'
_space_group_name_H-M_alt 'C 1 2/c 1'
_space_group_IT_number 15
_space_group_name_Hall '-C 2yc'
_cell_length_a 16.751
_cell_length_b 11.394
_cell_length_c 5.522
_cell_angle_alpha 90.00
_cell_angle_beta 108.03
_cell_angle_gamma 90.00
loop_
_atom_site_label
_atom_site_fract_x
_atom_site_fract_y
_atom_site_fract_z
_atom_site_occupancy
Sm1 0.000 0.109 0.250 1
Sm2 0.000 0.366 0.750 1
Sm3 0.171 0.116 0.880 1
Mo1 0.153 0.356 0.440 1
O1 0.074 0.237 0.584 1
O2 0.080 0.466 0.482 1
O3 0.092 0.017 0.078 1
O4 0.105 0.279 0.135 1
O5 0.228 0.298 0.739 1
O6 0.233 0.445 0.363 1
```

=====

No. 5
The following is a calculated powder diffraction line list of Sm2Mo2O7. It was derived from a crystal structure in the Materials Project, relaxed with GGA+U, using Cu Kα.
Lines closer than 0.1° are merged.

Most intense lines, 2θ from 10° to 80°, low angle first:
(0 2 2), 3.075 Å, 2θ 29.04, I = 100
(2 0 2), 2.974 Å, 2θ 30.05, I = 93
(2 2 0), 2.623 Å, 2θ 34.19, I = 40
(0 0 4), 2.609 Å, 2θ 34.37, I = 18
(0 4 0), 1.903 Å, 2θ 47.80, I = 17
(2 2 4), 1.850 Å, 2θ 49.27, I = 63
(4 0 0), 1.810 Å, 2θ 50.43, I = 15
(2 4 2), 1.603 Å, 2θ 57.50, I = 28
(0 2 6), 1.582 Å, 2θ 58.33, I = 13
(4 2 2), 1.559 Å, 2θ 59.25, I = 26

Structural model:
```
data_Sm2Mo2O7
_chemical_formula_sum 'Sm8 Mo8 O28'
_space_group_name_H-M_alt 'P 1'
_space_group_IT_number 1
_space_group_name_Hall 'P 1'
_cell_length_a 7.238
_cell_length_b 7.611
_cell_length_c 10.436
_cell_angle_alpha 89.97
_cell_angle_beta 89.99
_cell_angle_gamma 89.99
loop_
_atom_site_label
_atom_site_fract_x
_atom_site_fract_y
_atom_site_fract_z
_atom_site_occupancy
Sm1 0.000 0.000 0.000 1
Sm2 0.000 0.498 0.007 1
Sm3 0.251 0.243 0.754 1
Sm4 0.251 0.741 0.254 1
Sm5 0.500 0.487 0.507 1
Sm6 0.500 0.985 0.500 1
Sm7 0.749 0.244 0.754 1
Sm8 0.752 0.743 0.254 1
Mo1 0.000 0.479 0.487 1
Mo2 0.248 0.240 0.256 1
Mo3 0.250 0.744 0.754 1
Mo4 0.499 0.507 0.987 1
Mo5 0.500 0.006 0.022 1
Mo6 0.749 0.744 0.755 1
Mo7 0.750 0.242 0.254 1
Mo8 0.999 0.981 0.522 1
O1 0.000 0.219 0.607 1
O2 0.000 0.755 0.876 1
O3 0.002 0.255 0.136 1
O4 0.003 0.719 0.405 1
O5 0.203 0.508 0.623 1
O6 0.204 0.006 0.382 1
O7 0.248 0.478 0.372 1
O8 0.249 0.000 0.133 1
O9 0.251 0.504 0.872 1
O10 0.251 0.983 0.633 1
O11 0.296 0.981 0.882 1
O12 0.297 0.480 0.123 1
O13 0.497 0.197 0.147 1
O14 0.499 0.704 0.866 1
O15 0.500 0.266 0.906 1
O16 0.500 0.730 0.635 1
O17 0.502 0.231 0.376 1
O18 0.503 0.767 0.106 1
O19 0.703 0.477 0.124 1
O20 0.703 0.981 0.883 1
O21 0.749 0.505 0.873 1
O22 0.749 0.984 0.634 1
O23 0.751 0.005 0.134 1
O24 0.751 0.483 0.373 1
O25 0.797 0.003 0.383 1
O26 0.797 0.507 0.624 1
O27 0.997 0.280 0.367 1
O28 0.999 0.789 0.646 1
```